Structure and simulated X-ray diffraction stick pattern of TiP2H2O8 (DFT lattice parameters and positions (GGA-PBE); a wavelength of 1.5418 Å).

Most intense lines, 10° ≤ 2θ ≤ 90°, sorted by position:
14.62°, rel. 26; 16.77°, rel. 55; 19.37°, rel. 28; 21.89°, rel. 11; 25.48°, rel. 100; 27.86°, rel. 46; 29.11°, rel. 20; 34.15°, rel. 19; 36.33°, rel. 12; 43.48°, rel. 10; 45.05°, rel. 8; 54.98°, rel. 9

a = 5.252 Å, b = 6.404 Å, c = 18.733 Å
α = 90.00°, β = 90.16°, γ = 90.00°
Space group P2_1/c (No. 14)
Inequivalent atoms, fractional coordinates:
Ti1 0.238 0.248 0.169 x4
P1 0.248 0.665 0.939 x4
P2 0.267 0.747 0.715 x4
H1 0.177 0.678 0.056 x4
H2 0.390 0.155 0.444 x4
O1 0.013 0.247 0.581 x4
O2 0.055 0.745 0.772 x4
O3 0.230 0.081 0.431 x4
O4 0.238 0.554 0.666 x4
O5 0.244 0.559 0.166 x4
O6 0.308 0.717 0.021 x4
O7 0.470 0.245 0.748 x4
O8 0.473 0.744 0.399 x4

***

Structure and simulated X-ray diffraction stick pattern of TiPHO5 (DFT lattice parameters and positions (GGA-PBE); a wavelength of 1.5418 Å).

Most intense lines, 10° ≤ 2θ ≤ 90°, sorted by position:
18.26°, rel. 25; 18.72°, rel. 19; 25.18°, rel. 19; 26.09°, rel. 100; 27.94°, rel. 58; 28.61°, rel. 25; 34.85°, rel. 15; 40.80°, rel. 11; 44.43°, rel. 11; 44.92°, rel. 11; 46.56°, rel. 11; 53.66°, rel. 11

a = 7.452 Å, b = 7.074 Å, c = 7.518 Å
α = 90.00°, β = 117.18°, γ = 90.00°
Space group P2_1 (No. 4)
Inequivalent atoms, fractional coordinates:
Ti1 0.219 0.000 0.471 x2
Ti2 0.219 0.504 0.975 x2
P1 0.001 0.393 0.251 x2
P2 0.500 0.134 0.249 x2
H1 0.432 0.220 0.811 x2
H2 0.447 0.738 0.308 x2
O1 0.001 0.424 0.753 x2
O2 0.091 0.019 0.644 x2
O3 0.094 0.522 0.149 x2
O4 0.166 0.769 0.908 x2
O5 0.169 0.266 0.406 x2
O6 0.336 0.261 0.091 x2
O7 0.337 0.759 0.589 x2
O8 0.409 0.505 0.856 x2
O9 0.410 0.000 0.351 x2
O10 0.497 0.141 0.749 x2

***

Structure and simulated X-ray diffraction stick pattern of TlPH2O4 (DFT lattice parameters and positions (GGA-PBE); a wavelength of 1.5418 Å).

Most intense lines, 10° ≤ 2θ ≤ 90°, sorted by position:
18.23°, rel. 40; 20.63°, rel. 15; 24.69°, rel. 100; 27.08°, rel. 44; 30.36°, rel. 39; 34.27°, rel. 18; 36.94°, rel. 26; 39.50°, rel. 20; 39.92°, rel. 20; 44.27°, rel. 18; 46.41°, rel. 16; 55.56°, rel. 14

a = 4.510 Å, b = 14.436 Å, c = 6.590 Å
α = 90.00°, β = 90.00°, γ = 90.00°
Space group Pbcn (No. 60)
Inequivalent atoms, fractional coordinates:
Tl1 0.000 0.129 0.250 x4
P1 0.000 0.375 0.250 x4
H1 0.000 0.185 0.750 x4
H2 0.000 0.500 0.000 x4
O1 0.130 0.436 0.077 x8
O2 0.243 0.188 0.828 x8

***

Structure and simulated X-ray diffraction stick pattern of TlP2HO7 (DFT lattice parameters and positions (GGA-PBE); a wavelength of 1.5418 Å).

Most intense lines, 10° ≤ 2θ ≤ 90°, sorted by position:
13.73°, rel. 100; 18.20°, rel. 58; 19.36°, rel. 17; 23.81°, rel. 19; 26.69°, rel. 51; 27.67°, rel. 33; 28.12°, rel. 35; 29.56°, rel. 13; 30.97°, rel. 17; 32.04°, rel. 17; 40.01°, rel. 13; 41.96°, rel. 18

a = 7.340 Å, b = 9.171 Å, c = 10.010 Å
α = 90.00°, β = 118.54°, γ = 90.00°
Space group P2_1/c (No. 14)
Inequivalent atoms, fractional coordinates:
Tl1 0.034 0.205 0.002 x4
P1 0.057 0.006 0.730 x4
P2 0.434 0.644 0.248 x4
H1 0.449 0.544 0.823 x4
O1 0.014 0.507 0.368 x4
O2 0.041 0.168 0.695 x4
O3 0.080 0.092 0.402 x4
O4 0.297 0.543 0.297 x4
O5 0.312 0.721 0.662 x4
O6 0.376 0.181 0.103 x4
O7 0.481 0.550 0.136 x4

***

Structure and simulated X-ray diffraction stick pattern of TlPHO3 (DFT lattice parameters and positions (GGA-PBE); a wavelength of 1.5418 Å).

Most intense lines, 10° ≤ 2θ ≤ 90°, sorted by position:
15.44°, rel. 67; 21.04°, rel. 51; 24.65°, rel. 61; 26.09°, rel. 25; 26.20°, rel. 100; 28.19°, rel. 60; 30.22°, rel. 83; 31.17°, rel. 27; 37.91°, rel. 27; 39.14°, rel. 33; 41.62°, rel. 39; 43.00°, rel. 34

a = 5.758 Å, b = 8.447 Å, c = 8.017 Å
α = 90.00°, β = 94.79°, γ = 90.00°
Space group P2_1/c (No. 14)
Inequivalent atoms, fractional coordinates:
Tl1 0.042 0.244 0.093 x4
P1 0.479 0.549 0.125 x4
H1 0.440 0.646 0.693 x4
O1 0.224 0.533 0.162 x4
O2 0.353 0.555 0.748 x4
O3 0.418 0.217 0.372 x4

***

Structure and simulated X-ray diffraction stick pattern of TlPH2O4 (DFT lattice parameters and positions (GGA-PBE); a wavelength of 1.5418 Å).

Most intense lines, 10° ≤ 2θ ≤ 90°, sorted by position:
17.87°, rel. 28; 18.38°, rel. 27; 20.42°, rel. 20; 24.39°, rel. 41; 24.56°, rel. 100; 26.89°, rel. 63; 29.89°, rel. 31; 30.37°, rel. 21; 33.87°, rel. 16; 36.19°, rel. 17; 39.55°, rel. 28; 47.10°, rel. 17

a = 6.630 Å, b = 4.557 Å, c = 14.520 Å
α = 90.00°, β = 91.63°, γ = 90.00°
Space group Pc (No. 7)
Inequivalent atoms, fractional coordinates:
Tl1 0.000 0.240 0.000 x2
Tl2 0.480 0.248 0.739 x2
P1 0.486 0.227 0.492 x2
P2 0.970 0.268 0.244 x2
H1 0.215 0.269 0.359 x2
H2 0.496 0.237 0.053 x2
H3 0.723 0.260 0.380 x2
H4 0.980 0.262 0.686 x2
O1 0.069 0.024 0.187 x2
O2 0.127 0.410 0.315 x2
O3 0.335 0.099 0.421 x2
O4 0.403 0.474 0.552 x2
O5 0.563 0.028 0.059 x2
O6 0.681 0.350 0.445 x2
O7 0.783 0.158 0.293 x2
O8 0.908 0.470 0.678 x2

***

Structure and simulated X-ray diffraction stick pattern of TlP2H5O8 (DFT lattice parameters and positions (GGA-PBE); a wavelength of 1.5418 Å).

Most intense lines, 10° ≤ 2θ ≤ 90°, sorted by position:
14.18°, rel. 97; 22.17°, rel. 51; 22.61°, rel. 62; 23.03°, rel. 67; 24.72°, rel. 100; 28.43°, rel. 92; 29.45°, rel. 32; 32.49°, rel. 42; 36.10°, rel. 30; 38.93°, rel. 25; 42.04°, rel. 25; 43.47°, rel. 33

a = 10.445 Å, b = 7.865 Å, c = 9.696 Å
α = 90.00°, β = 100.51°, γ = 90.00°
Space group C2/c (No. 15)
Inequivalent atoms, fractional coordinates:
Tl1 0.000 0.000 0.000 x4
P1 0.183 0.444 0.194 x8
H1 0.000 0.304 0.250 x4
H2 0.164 0.458 0.479 x8
H3 0.183 0.270 0.825 x8
O1 0.080 0.301 0.175 x8
O2 0.155 0.416 0.576 x8
O3 0.182 0.138 0.822 x8
O4 0.191 0.462 0.834 x8